(1)
Theoretical XRD peak list
Compound: Ce13O24
Radiation: a wavelength of 1.5418 Å
Structure: a GGA-PBE-relaxed structure
Peak positions follow from Bragg's law for the DFT cell and can differ from measured ones.

Most intense lines, 15 to 90 degrees two-theta, in order of falling intensity:
2θ/deg  intensity  h k l
28.07  100  1 0 -3
46.64  68  2 3 2
32.51  41  1 1 4
55.30  37  1 3 5
28.04  34  0 2 1
55.36  18  0 1 7
75.16  12  -1 4 5
86.51  8  1 6 0
86.59  7  3 2 -8
77.45  7  -3 3 4

Cell and atoms:
a b c (Å): 6.747 6.751 12.304
angles (deg): 89.96 79.55 80.35
Space group P1 (No. 1)
Inequivalent atoms, fractional coordinates:
Ce: 0.000 0.000 0.000
Ce: 0.053 0.150 0.687
Ce: 0.130 0.283 0.383
Ce: 0.206 0.464 0.081
Ce: 0.269 0.614 0.773
Ce: 0.386 0.769 0.468
Ce: 0.421 0.920 0.166
Ce: 0.500 0.090 0.837
Ce: 0.589 0.238 0.538
Ce: 0.664 0.388 0.231
Ce: 0.746 0.509 0.924
Ce: 0.806 0.695 0.633
Ce: 0.883 0.853 0.298
O: 0.017 0.672 0.946
O: 0.118 0.789 0.623
O: 0.130 0.806 0.136
O: 0.188 0.939 0.339
O: 0.203 0.960 0.819
O: 0.300 0.102 0.519
O: 0.316 0.089 0.015
O: 0.352 0.274 0.708
O: 0.356 0.264 0.215
O: 0.404 0.442 0.413
O: 0.418 0.427 0.904
O: 0.515 0.583 0.609
O: 0.526 0.588 0.091
O: 0.586 0.731 0.290
O: 0.601 0.747 0.810
O: 0.704 0.857 0.479
O: 0.736 0.019 0.154
O: 0.740 0.053 0.671
O: 0.801 0.166 0.881
O: 0.802 0.191 0.358
O: 0.913 0.367 0.546
O: 0.918 0.338 0.065
O: 0.965 0.479 0.756
O: 0.979 0.513 0.268



(2)
Theoretical XRD peak list
Compound: Ce7O12
Radiation: a wavelength of 1.5418 Å
Structure: a GGA-PBE-relaxed structure
Peak positions follow from Bragg's law for the DFT cell and can differ from measured ones.

Most intense lines, 15 to 90 degrees two-theta, in order of falling intensity:
2θ/deg  intensity  h k l
27.88  100  3 -1 1
46.33  47  4 1 0
54.94  41  1 2 5
32.30  32  1 2 2
74.64  15  6 -2 5
85.90  12  8 -5 4
76.92  10  5 -4 6
57.61  9  0 0 6
67.60  6  2 4 4
41.30  2  3 0 3

Cell and atoms:
a b c (Å): 10.3702 10.3702 9.5998
angles (deg): 90.00 90.00 120.00
Space group R-3 (No. 148, hexagonal axes)
Inequivalent atoms, fractional coordinates:
Ce: 0.0000 0.0000 0.0000
Ce: 0.0465 0.7919 0.6537
O: 0.0349 0.8150 0.3976
O: 0.0366 0.8219 0.8937



(3)
Theoretical XRD peak list
Compound: Ce17O32
Radiation: a wavelength of 1.5418 Å
Structure: a GGA-PBE-relaxed structure
Peak positions follow from Bragg's law for the DFT cell and can differ from measured ones.

Most intense lines, 15 to 90 degrees two-theta, in order of falling intensity:
2θ/deg  intensity  h k l
28.06  100  1 1 -3
32.53  40  0 1 3
46.62  35  -3 1 4
46.72  34  -1 4 1
28.12  33  2 -1 2
55.32  29  1 0 -6
55.41  23  1 3 3
75.31  11  0 6 1
77.60  8  1 -1 8
68.10  7  6 0 -2

Cell and atoms:
a b c (Å): 8.703 8.703 10.307
angles (deg): 104.74 95.06 107.37
Space group P-1 (No. 2)
Inequivalent atoms, fractional coordinates:
Ce: 0.000 0.000 0.000
Ce: 0.046 0.449 0.170
Ce: 0.104 0.950 0.353
Ce: 0.173 0.418 0.530
Ce: 0.242 0.884 0.701
Ce: 0.295 0.355 0.884
Ce: 0.360 0.829 0.050
Ce: 0.411 0.299 0.235
Ce: 0.488 0.766 0.425
O: 0.015 0.866 0.541
O: 0.049 0.338 0.733
O: 0.050 0.609 0.631
O: 0.118 0.076 0.805
O: 0.138 0.814 0.894
O: 0.172 0.564 0.010
O: 0.185 0.268 0.074
O: 0.217 0.990 0.168
O: 0.278 0.513 0.329
O: 0.301 0.233 0.421
O: 0.329 0.941 0.485
O: 0.375 0.695 0.605
O: 0.383 0.424 0.690
O: 0.452 0.163 0.769
O: 0.459 0.896 0.868
O: 0.491 0.633 0.955